Starting from a GGA-PBE-relaxed structure, the powder X-ray diffraction pattern of KInMo6Se6 was calculated for Cu Kα (λ = 1.5418 Å).

Principal peaks in the range 10 to 80 degrees two-theta, by angle:
d_spacing, 2theta, Rel. int.
7.942, 11.1, 100
3.220, 27.7, 12
3.002, 29.8, 20
2.984, 29.9, 8
2.501, 35.9, 39
2.262, 39.9, 22
2.203, 41.0, 12
2.045, 44.3, 31
1.980, 45.8, 26
1.806, 50.5, 9
1.690, 54.3, 14
1.578, 58.5, 8

Cell and atoms:
a b c (Å): 9.1710 9.1710 4.5238
angles (deg): 90.00 90.00 120.00
Fractional positions:
K  0.0000  0.0000  0.0000
In  0.6667  0.3333  0.5000
Mo  0.1519  0.5164  0.5000
Mo  0.1831  0.6977  0.0000
Mo  0.3023  0.4854  0.0000
Mo  0.3645  0.8481  0.5000
Mo  0.4836  0.6355  0.5000
Mo  0.5146  0.8169  0.0000
Se  0.0357  0.7275  0.5000
Se  0.2725  0.3082  0.5000
Se  0.3988  0.0270  0.0000
Se  0.6282  0.6012  0.0000
Se  0.6918  0.9643  0.5000
Se  0.9730  0.3718  0.0000

Starting from a GGA-PBE-relaxed structure, the powder X-ray diffraction pattern of KInTe6Mo6 was calculated for Cu Kα (λ = 1.5418 Å).

Principal peaks in the range 10 to 80 degrees two-theta, by angle:
d_spacing, 2theta, Rel. int.
8.411, 10.5, 100
3.347, 26.6, 44
3.179, 28.1, 26
3.110, 28.7, 16
2.804, 31.9, 16
2.619, 34.2, 41
2.333, 38.6, 17
2.309, 39.0, 29
2.149, 42.0, 47
2.082, 43.5, 33
1.781, 51.3, 30
1.264, 75.2, 12

Cell and atoms:
a b c (Å): 9.7121 9.7121 4.6188
angles (deg): 90.00 90.00 120.00
Fractional positions:
K  0.0000  0.0000  0.0000
In  0.3333  0.6667  0.5000
Te  0.0310  0.3954  0.0000
Te  0.3058  0.2797  0.5000
Te  0.3644  0.9690  0.0000
Te  0.6046  0.6356  0.0000
Te  0.7203  0.0261  0.5000
Te  0.9739  0.6942  0.5000
Mo  0.4964  0.3060  0.0000
Mo  0.5236  0.1633  0.5000
Mo  0.6398  0.4764  0.5000
Mo  0.6940  0.1904  0.0000
Mo  0.8096  0.5036  0.0000
Mo  0.8367  0.3602  0.5000

Starting from a GGA-PBE-relaxed structure, the powder X-ray diffraction pattern of KInN was calculated for Cu Kα (λ = 1.5418 Å).

Principal peaks in the range 10 to 80 degrees two-theta, by angle:
d_spacing, 2theta, Rel. int.
5.237, 16.9, 20
3.511, 25.4, 14
3.142, 28.4, 13
3.031, 29.5, 40
2.890, 30.9, 39
2.695, 33.2, 100
2.686, 33.4, 35
2.620, 34.2, 11
2.279, 39.5, 10
2.088, 43.3, 14
1.759, 52.0, 10
1.629, 56.5, 14

Cell and atoms:
a b c (Å): 3.5181 4.1811 10.7373
angles (deg): 81.44 80.63 89.78
Fractional positions:
K  0.0920  0.1326  0.3194
K  0.9080  0.8674  0.6806
In  0.2874  0.2779  0.9243
In  0.7126  0.7221  0.0757
N  0.4842  0.3763  0.5351
N  0.5158  0.6237  0.4649

Starting from a GGA-PBE-relaxed structure, the powder X-ray diffraction pattern of KNa3In was calculated for Cu Kα (λ = 1.5418 Å).

Principal peaks in the range 10 to 80 degrees two-theta, by angle:
d_spacing, 2theta, Rel. int.
8.493, 10.4, 29
6.373, 13.9, 100
5.663, 15.6, 27
4.673, 19.0, 24
3.847, 23.1, 41
3.780, 23.5, 27
3.243, 27.5, 40
3.187, 28.0, 28
2.801, 32.0, 30
2.771, 32.3, 79
2.575, 34.8, 55
1.945, 46.7, 33

Cell and atoms:
a b c (Å): 10.5173 10.5173 7.7761
angles (deg): 100.08 100.08 68.57
Fractional positions:
K  0.0336  0.9664  0.7500
K  0.3610  0.6390  0.2500
K  0.6390  0.3610  0.7500
K  0.9664  0.0336  0.2500
Na  0.0124  0.3424  0.0786
Na  0.0295  0.3560  0.6013
Na  0.3229  0.3242  0.9041
Na  0.3242  0.3229  0.4041
Na  0.3424  0.0124  0.5786
Na  0.3560  0.0295  0.1013
Na  0.6440  0.9705  0.8987
Na  0.6576  0.9876  0.4214
Na  0.6758  0.6771  0.5959
Na  0.6771  0.6758  0.0959
Na  0.9705  0.6440  0.3987
Na  0.9876  0.6576  0.9214
In  0.2388  0.5914  0.6912
In  0.4086  0.7612  0.8088
In  0.5914  0.2388  0.1912
In  0.7612  0.4086  0.3088

Starting from a GGA-PBE-relaxed structure, the powder X-ray diffraction pattern of K2Na5In was calculated for Cu Kα (λ = 1.5418 Å).

Principal peaks in the range 10 to 80 degrees two-theta, by angle:
d_spacing, 2theta, Rel. int.
6.241, 14.2, 55
5.009, 17.7, 12
3.989, 22.3, 19
3.361, 26.5, 33
3.120, 28.6, 100
3.080, 29.0, 24
2.821, 31.7, 45
2.438, 36.9, 18
1.994, 45.5, 15
1.873, 48.6, 11
1.844, 49.4, 14
1.680, 54.6, 27

Cell and atoms:
a b c (Å): 7.5438 7.5438 7.5438
angles (deg): 116.16 116.16 96.80
Fractional positions:
K  0.0000  0.5000  0.5000
K  0.5000  0.0000  0.5000
Na  0.4405  0.4405  0.0000
Na  0.5158  0.5158  0.5391
Na  0.5158  0.9767  0.0000
Na  0.9767  0.5158  0.0000
Na  0.9767  0.9767  0.4609
In  0.0571  0.0571  0.0000

Starting from a GGA-PBE-relaxed structure, the powder X-ray diffraction pattern of K16Na12In was calculated for Cu Kα (λ = 1.5418 Å).

Principal peaks in the range 10 to 80 degrees two-theta, by angle:
d_spacing, 2theta, Rel. int.
3.509, 25.4, 41
3.485, 25.6, 65
3.472, 25.7, 78
3.450, 25.8, 100
3.422, 26.0, 58
3.407, 26.2, 51
3.391, 26.3, 89
3.357, 26.6, 25
3.045, 29.3, 35
2.906, 30.8, 24
2.000, 45.3, 29
1.978, 45.9, 26

Cell and atoms:
a b c (Å): 12.4660 12.4660 12.7119
angles (deg): 109.29 109.29 107.78
Fractional positions:
K  0.0000  0.0000  0.0000
K  0.0050  0.5931  0.3247
K  0.0080  0.3638  0.0002
K  0.0141  0.0141  0.3631
K  0.2883  0.6695  0.6944
K  0.3167  0.9978  0.5942
K  0.3473  0.5640  0.9723
K  0.3638  0.0080  0.0002
K  0.4114  0.7027  0.4046
K  0.5640  0.3473  0.9723
K  0.5931  0.0050  0.3247
K  0.6040  0.6040  0.6859
K  0.6695  0.2883  0.6944
K  0.7027  0.4114  0.4046
K  0.7082  0.7082  0.3103
K  0.9978  0.3167  0.5942
Na  0.0002  0.8130  0.6551
Na  0.0035  0.6365  0.8319
Na  0.1723  0.1723  0.7853
Na  0.1861  0.3576  0.3836
Na  0.1971  0.8170  0.1786
Na  0.3440  0.3440  0.1688
Na  0.3576  0.1861  0.3836
Na  0.6365  0.0035  0.8319
Na  0.6632  0.8476  0.0331
Na  0.8130  0.0002  0.6551
Na  0.8170  0.1971  0.1786
Na  0.8476  0.6632  0.0331
In  0.3256  0.3256  0.6491

Starting from a GGA-PBE-relaxed structure, the powder X-ray diffraction pattern of KNa9In2 was calculated for Cu Kα (λ = 1.5418 Å).

Principal peaks in the range 10 to 80 degrees two-theta, by angle:
d_spacing, 2theta, Rel. int.
7.550, 11.7, 95
5.126, 17.3, 80
4.937, 18.0, 46
3.775, 23.6, 49
3.556, 25.0, 64
3.491, 25.5, 35
3.147, 28.4, 30
2.925, 30.6, 36
2.698, 33.2, 33
2.667, 33.6, 80
2.563, 35.0, 100
2.042, 44.4, 43

Cell and atoms:
a b c (Å): 10.8456 10.8456 10.8456
angles (deg): 99.86 99.86 131.12
Fractional positions:
K  0.3750  0.6250  0.7500
K  0.6250  0.3750  0.2500
Na  0.1250  0.8750  0.2500
Na  0.1391  0.5696  0.3253
Na  0.1391  0.8138  0.5696
Na  0.1862  0.2557  0.3253
Na  0.1862  0.8609  0.9304
Na  0.2557  0.1862  0.8253
Na  0.2557  0.4304  0.0696
Na  0.4304  0.2557  0.5696
Na  0.4304  0.8609  0.1747
Na  0.5696  0.1391  0.8253
Na  0.5696  0.7443  0.4304
Na  0.7443  0.5696  0.9304
Na  0.7443  0.8138  0.1747
Na  0.8138  0.1391  0.0696
Na  0.8138  0.7443  0.6747
Na  0.8609  0.1862  0.4304
Na  0.8609  0.4304  0.6747
Na  0.8750  0.1250  0.7500
In  0.0000  0.0000  0.0000
In  0.0000  0.0000  0.5000
In  0.0000  0.5000  0.0000
In  0.5000  0.0000  0.5000

Starting from a GGA-PBE-relaxed structure, the powder X-ray diffraction pattern of K17Na11In was calculated for Cu Kα (λ = 1.5418 Å).

Principal peaks in the range 10 to 80 degrees two-theta, by angle:
d_spacing, 2theta, Rel. int.
5.961, 14.9, 16
3.671, 24.2, 22
3.514, 25.3, 100
3.455, 25.8, 86
3.420, 26.1, 93
3.409, 26.1, 16
3.223, 27.7, 15
3.118, 28.6, 34
3.093, 28.9, 28
3.074, 29.0, 19
2.896, 30.9, 17
2.004, 45.3, 30

Cell and atoms:
a b c (Å): 12.6039 12.6039 12.5843
angles (deg): 108.59 108.59 108.72
Fractional positions:
K  0.0000  0.0000  0.0000
K  0.0098  0.0098  0.4050
K  0.0256  0.6214  0.4191
K  0.3175  0.3175  0.0748
K  0.3177  0.9065  0.0425
K  0.3202  0.6516  0.2971
K  0.3348  0.6752  0.7237
K  0.3383  0.3383  0.7281
K  0.6214  0.0256  0.4191
K  0.6453  0.8986  0.7175
K  0.6516  0.3202  0.2971
K  0.6752  0.3348  0.7237
K  0.7203  0.9955  0.1081
K  0.7246  0.7246  0.4112
K  0.8986  0.6453  0.7175
K  0.9065  0.3177  0.0425
K  0.9955  0.7203  0.1081
Na  0.1310  0.5003  0.8963
Na  0.1483  0.9678  0.7294
Na  0.1509  0.3316  0.3566
Na  0.3316  0.1509  0.3566
Na  0.3348  0.9710  0.5438
Na  0.5003  0.1310  0.8963
Na  0.5000  0.6697  0.0525
Na  0.5099  0.5099  0.5504
Na  0.6697  0.5000  0.0525
Na  0.9678  0.1483  0.7294
Na  0.9710  0.3348  0.5438
In  0.6668  0.6668  0.8763

Starting from a GGA-PBE-relaxed structure, the powder X-ray diffraction pattern of KNa10In3 was calculated for Cu Kα (λ = 1.5418 Å).

Principal peaks in the range 10 to 80 degrees two-theta, by angle:
d_spacing, 2theta, Rel. int.
8.147, 10.9, 17
5.761, 15.4, 22
4.704, 18.9, 100
4.073, 21.8, 38
3.136, 28.5, 24
2.880, 31.0, 67
2.754, 32.5, 16
2.716, 33.0, 13
2.456, 36.6, 76
1.869, 48.7, 23
1.663, 55.2, 26
1.377, 68.1, 16

Cell and atoms:
a b c (Å): 11.5212 11.5212 11.5212
angles (deg): 60.00 60.00 60.00
Fractional positions:
K  0.2500  0.2500  0.2500
K  0.7500  0.7500  0.7500
Na  0.0000  0.0000  0.3376
Na  0.0000  0.0000  0.6624
Na  0.0000  0.3376  0.0000
Na  0.0000  0.3376  0.6624
Na  0.0000  0.6624  0.0000
Na  0.0000  0.6624  0.3376
Na  0.1618  0.6127  0.6127
Na  0.3376  0.0000  0.0000
Na  0.3376  0.0000  0.6624
Na  0.3376  0.6624  0.0000
Na  0.3873  0.3873  0.3873
Na  0.3873  0.3873  0.8382
Na  0.3873  0.8382  0.3873
Na  0.6127  0.1618  0.6127
Na  0.6127  0.6127  0.1618
Na  0.6127  0.6127  0.6127
Na  0.6624  0.0000  0.0000
Na  0.6624  0.0000  0.3376
Na  0.6624  0.3376  0.0000
Na  0.8382  0.3873  0.3873
In  0.2677  0.2677  0.7323
In  0.2677  0.7323  0.2677
In  0.2677  0.7323  0.7323
In  0.7323  0.2677  0.2677
In  0.7323  0.2677  0.7323
In  0.7323  0.7323  0.2677

Starting from a GGA-PBE-relaxed structure, the powder X-ray diffraction pattern of K5Na6In was calculated for Cu Kα (λ = 1.5418 Å).

Principal peaks in the range 10 to 80 degrees two-theta, by angle:
d_spacing, 2theta, Rel. int.
6.214, 14.3, 12
6.163, 14.4, 24
5.991, 14.8, 10
3.593, 24.8, 14
3.396, 26.2, 100
3.081, 29.0, 25
2.876, 31.1, 41
2.845, 31.4, 19
2.104, 43.0, 15
1.949, 46.6, 10
1.745, 52.4, 15
1.698, 54.0, 10

Cell and atoms:
a b c (Å): 7.3175 7.3175 12.5866
angles (deg): 95.78 95.78 120.37
Fractional positions:
K  0.0000  0.0000  0.0000
K  0.1657  0.8343  0.5000
K  0.3292  0.6708  0.0000
K  0.6708  0.3292  0.0000
K  0.8343  0.1657  0.5000
Na  0.1415  0.4255  0.2762
Na  0.2903  0.2903  0.7262
Na  0.4255  0.1415  0.2762
Na  0.5745  0.8585  0.7238
Na  0.7097  0.7097  0.2738
Na  0.8585  0.5745  0.7238
In  0.5000  0.5000  0.5000

Starting from a GGA-PBE-relaxed structure, the powder X-ray diffraction pattern of K2Na3In was calculated for Cu Kα (λ = 1.5418 Å).

Principal peaks in the range 10 to 80 degrees two-theta, by angle:
d_spacing, 2theta, Rel. int.
5.791, 15.3, 46
5.750, 15.4, 23
5.501, 16.1, 35
4.927, 18.0, 36
3.561, 25.0, 100
3.003, 29.7, 58
2.991, 29.9, 57
2.974, 30.0, 56
2.925, 30.6, 24
2.900, 30.8, 90
1.931, 47.1, 23
1.781, 51.3, 31

Cell and atoms:
a b c (Å): 6.8900 6.8900 6.8260
angles (deg): 117.46 117.46 62.30
Fractional positions:
K  0.1291  0.1291  0.3710
K  0.8709  0.8709  0.6290
Na  0.0000  0.5000  0.0000
Na  0.5000  0.0000  0.0000
Na  0.5000  0.5000  0.5000
In  0.5000  0.5000  0.0000